[1]
Calculated powder diffraction line list of BaIn2AgRh for λ = 1.5418 Å (Cu Kα), from a DFT-relaxed cell (GGA-PBE, Alexandria).
Intensities are scaled so that the largest is 100.

Atomic structure:
Unit cell a=5.1150 b=5.1150 c=5.4437 alpha=90.00 beta=90.00 gamma=90.00
Space group P4/mmm (No. 123)
Symmetry-distinct sites (fractional):
Ba: 0.0000 0.0000 0.0000
In: 0.0000 0.5000 0.5000
Ag: 0.5000 0.5000 0.0000
Rh: 0.5000 0.5000 0.5000

Most intense lines, 2θ from 10° to 90°, by angle:
Position (°2θ), d/Å, I/Imax, hkl
23.87, 3.728, 19, 1 0 1
29.65, 3.013, 100, 1 1 1
32.91, 2.722, 47, 0 0 2
35.09, 2.557, 78, 2 0 0
48.87, 1.864, 60, 2 0 2
50.47, 1.808, 27, 2 2 0
59.63, 1.550, 26, 3 1 1
61.57, 1.506, 29, 2 2 2

=====

[2]
Calculated powder diffraction line list of K2GeBS4 for λ = 1.5418 Å (Cu Kα), from a DFT-relaxed cell (GGA-PBE, Alexandria).
Intensities are scaled so that the largest is 100.

Atomic structure:
Unit cell a=5.7761 b=13.3484 c=21.9941 alpha=90.00 beta=90.00 gamma=90.00
Space group Fddd (No. 70, origin choice 2)
Symmetry-distinct sites (fractional):
K: 0.1250 0.1250 0.3054
Ge: 0.1250 0.1250 0.6250
B: 0.1250 0.1250 0.1250
S: 0.0709 0.2890 0.4256

Most intense lines, 2θ from 10° to 90°, by angle:
Position (°2θ), d/Å, I/Imax, hkl
15.53, 5.706, 48, 0 2 2
16.12, 5.499, 38, 0 0 4
27.77, 3.213, 29, 0 2 6
28.09, 3.177, 100, 1 3 3
32.56, 2.750, 22, 0 0 8
38.38, 2.345, 19, 1 3 7
39.73, 2.269, 21, 2 0 6
47.86, 1.901, 19, 0 6 6

=====

[3]
Calculated powder diffraction line list of TaV6W12 for λ = 1.5418 Å (Cu Kα), from a DFT-relaxed cell (GGA-PBE, Alexandria).
Intensities are scaled so that the largest is 100.

Atomic structure:
Unit cell a=11.0780 b=11.0780 c=9.0996 alpha=90.00 beta=90.00 gamma=120.00
Space group R-3m (No. 166, hexagonal axes)
Symmetry-distinct sites (fractional):
Ta: 0.0000 0.0000 0.0000
V: 0.0394 0.5197 0.7099
W: 0.0000 0.3646 0.5000
W: 0.0849 0.1698 0.3723

Most intense lines, 2θ from 10° to 90°, by angle:
Position (°2θ), d/Å, I/Imax, hkl
27.90, 3.198, 22, 3 0 0
33.69, 2.660, 51, 1 1 3
35.14, 2.554, 100, 1 3 1
41.01, 2.201, 63, 3 0 3
42.61, 2.122, 28, 0 4 2
51.70, 1.768, 22, 5 0 2
68.47, 1.370, 23, 0 3 6
69.34, 1.355, 22, 7 0 1

=====

[4]
Calculated powder diffraction line list of LiDyCd17 for λ = 1.5418 Å (Cu Kα), from a DFT-relaxed cell (GGA-PBE, Alexandria).
Intensities are scaled so that the largest is 100.

Atomic structure:
Unit cell a=9.9660 b=9.9660 c=15.2480 alpha=90.00 beta=90.00 gamma=120.00
Space group R3m (No. 160, hexagonal axes)
Symmetry-distinct sites (fractional):
Li: 0.0000 0.0000 0.0000
Dy: 0.0000 0.0000 0.3620
Cd: 0.0000 0.0000 0.6067
Cd: 0.0000 0.0000 0.7957
Cd: 0.0012 0.3063 0.6926
Cd: 0.0347 0.5173 0.5521
Cd: 0.0453 0.5226 0.1839
Cd: 0.1031 0.5515 0.8384

Most intense lines, 2θ from 10° to 90°, by angle:
Position (°2θ), d/Å, I/Imax, hkl
31.09, 2.877, 35, 3 0 0
31.31, 2.857, 15, 0 2 4
35.32, 2.541, 21, 0 0 6
35.87, 2.504, 100, 0 3 3
36.06, 2.491, 39, 2 0 5
40.31, 2.237, 25, 2 2 3
55.31, 1.661, 17, 3 3 0
64.82, 1.438, 14, 6 0 0

=====

[5]
Calculated powder diffraction line list of UAl5Ir for λ = 1.5418 Å (Cu Kα), from a DFT-relaxed cell (GGA-PBE, Alexandria).
Intensities are scaled so that the largest is 100.

Atomic structure:
Unit cell a=4.2966 b=4.2966 c=6.8517 alpha=90.00 beta=90.00 gamma=90.00
Space group P4/mmm (No. 123)
Symmetry-distinct sites (fractional):
U: 0.0000 0.0000 0.0000
Al: 0.0000 0.5000 0.3002
Al: 0.5000 0.5000 0.0000
Ir: 0.0000 0.0000 0.5000

Most intense lines, 2θ from 10° to 90°, by angle:
Position (°2θ), d/Å, I/Imax, hkl
20.67, 4.297, 100, 1 0 0
26.01, 3.426, 24, 0 0 2
29.40, 3.038, 32, 1 1 0
33.45, 2.679, 62, 1 0 2
39.65, 2.273, 73, 1 1 2
42.06, 2.148, 33, 2 0 0
47.31, 1.922, 24, 2 1 0
54.77, 1.676, 31, 2 1 2

=====

[6]
Calculated powder diffraction line list of BaLiUTe3 for λ = 1.5418 Å (Cu Kα), from a DFT-relaxed cell (GGA-PBE, Alexandria).
Intensities are scaled so that the largest is 100.

Atomic structure:
Unit cell a=9.4720 b=4.5393 c=10.0275 alpha=90.00 beta=105.44 gamma=90.00
Space group P2_1/m (No. 11)
Symmetry-distinct sites (fractional):
Ba: 0.1934 0.2500 0.2442
Li: 0.0859 0.2500 0.5912
U: 0.3304 0.7500 0.8482
Te: 0.1073 0.2500 0.8709
Te: 0.2201 0.7500 0.5245
Te: 0.4484 0.7500 0.1711

Most intense lines, 2θ from 10° to 90°, by angle:
Position (°2θ), d/Å, I/Imax, hkl
11.42, 7.746, 25, 1 0 -1
27.51, 3.242, 100, 2 1 -1
27.70, 3.220, 95, 0 0 3
33.38, 2.685, 28, 1 1 -3
36.32, 2.474, 27, 2 1 2
38.02, 2.367, 24, 4 0 -1
39.71, 2.270, 28, 0 2 0
43.93, 2.061, 29, 3 1 2

=====

[7]
Calculated powder diffraction line list of RbCaAsIrS for λ = 1.5418 Å (Cu Kα), from a DFT-relaxed cell (GGA-PBE, Alexandria).
Intensities are scaled so that the largest is 100.

Atomic structure:
Unit cell a=4.1225 b=4.1661 c=9.6972 alpha=78.03 beta=77.89 gamma=60.47
Space group P1 (No. 1)
Symmetry-distinct sites (fractional):
Rb: 0.0000 0.0000 0.0000
Ca: 0.5380 0.5545 0.3763
As: 0.7720 0.7704 0.6805
Ir: 0.4367 0.4316 0.6890
S: 0.2506 0.2595 0.2436

Most intense lines, 2θ from 10° to 90°, by angle:
Position (°2θ), d/Å, I/Imax, hkl
18.86, 4.705, 78, 0 0 2
25.63, 3.476, 74, 1 0 1
27.95, 3.192, 85, 1 1 2
28.45, 3.137, 100, 0 0 3
29.49, 3.029, 69, 1 1 -1
43.33, 2.088, 86, 1 -1 0
43.45, 2.083, 41, 1 2 1
52.62, 1.739, 48, 1 -1 3